# 1
AcB2Pd6: simulated powder diffraction line list (Cu Kα X-rays), based on a cell relaxed with PBE.
Neutral-atom scattering factors, no anomalous dispersion.

Largest 6 diffraction maxima, sorted by position, 2θ = 10–80°:
| 2θ/deg | Rel. int. |
| --- | --- |
| 27.29 | 47 |
| 33.06 | 100 |
| 36.12 | 70 |
| 43.38 | 34 |
| 47.45 | 53 |
| 66.23 | 28 |

```
AcB2Pd6
1.0
0.0000 5.4192 5.4192
5.4192 0.0000 5.4192
5.4192 5.4192 0.0000
Ac B Pd
2 4 12
direct
0.1250 0.1250 0.1250
0.8750 0.8750 0.8750
0.0000 0.5000 0.5000
0.5000 0.0000 0.5000
0.5000 0.5000 0.0000
0.5000 0.5000 0.5000
0.1718 0.1718 0.5782
0.1718 0.5782 0.1718
0.1718 0.5782 0.5782
0.4218 0.4218 0.8282
0.4218 0.8282 0.4218
0.4218 0.8282 0.8282
0.5782 0.1718 0.1718
0.5782 0.1718 0.5782
0.5782 0.5782 0.1718
0.8282 0.4218 0.4218
0.8282 0.4218 0.8282
0.8282 0.8282 0.4218
```

***

# 2
Li2Ac5: simulated powder diffraction line list (Cu Kα X-rays), based on a cell relaxed with PBE.
Neutral-atom scattering factors, no anomalous dispersion.

Largest 6 diffraction maxima, sorted by position, 2θ = 10–80°:
| 2θ/deg | Rel. int. |
| --- | --- |
| 25.97 | 100 |
| 29.01 | 87 |
| 31.89 | 58 |
| 45.40 | 44 |
| 53.33 | 30 |
| 55.06 | 30 |

```
Li2Ac5
1.0
-1.9845 1.9845 17.0651
1.9845 -1.9845 17.0651
1.9845 1.9845 -17.0651
Li Ac
2 5
direct
0.2319 0.2319 0.0000
0.7681 0.7681 0.0000
0.0839 0.0839 0.0000
0.3352 0.3352 0.0000
0.5000 0.5000 0.0000
0.6648 0.6648 0.0000
0.9161 0.9161 0.0000
```

***

# 3
PmAg5Cl12: simulated powder diffraction line list (Cu Kα X-rays), based on a cell relaxed with PBE.
Neutral-atom scattering factors, no anomalous dispersion.

Largest 6 diffraction maxima, sorted by position, 2θ = 10–80°:
| 2θ/deg | Rel. int. |
| --- | --- |
| 14.18 | 100 |
| 24.11 | 25 |
| 26.08 | 20 |
| 29.96 | 16 |
| 35.61 | 15 |
| 43.78 | 20 |

```
PmAg5Cl12
1.0
6.7118 0.0000 0.0000
2.5546 6.2078 0.0000
2.4633 -0.5030 12.4925
Pm Ag Cl
1 5 12
direct
0.0000 0.0000 0.0000
0.1662 0.6665 0.5009
0.3254 0.3253 0.9999
0.5000 0.0000 0.5000
0.6746 0.6747 0.0001
0.8338 0.3335 0.4991
0.0893 0.2985 0.8709
0.1595 0.3781 0.3861
0.1747 0.9553 0.6149
0.2581 0.0482 0.1289
0.3761 0.6557 0.8996
0.4901 0.7106 0.3863
0.5099 0.2894 0.6137
0.6239 0.3443 0.1004
0.7419 0.9518 0.8711
0.8253 0.0447 0.3851
0.8405 0.6219 0.6139
0.9107 0.7015 0.1291
```

***

# 4
Cs2TlGa2: simulated powder diffraction line list (Cu Kα X-rays), based on a cell relaxed with PBE.
Neutral-atom scattering factors, no anomalous dispersion.

Largest 6 diffraction maxima, sorted by position, 2θ = 10–80°:
| 2θ/deg | Rel. int. |
| --- | --- |
| 21.40 | 29 |
| 26.96 | 100 |
| 28.02 | 55 |
| 29.36 | 79 |
| 36.71 | 38 |
| 46.81 | 38 |

```
Cs2TlGa2
1.0
7.7413 0.0000 0.0000
0.0000 7.7413 0.0000
0.0000 0.0000 6.3687
Cs Tl Ga
4 2 4
direct
0.1859 0.3141 0.0000
0.3141 0.8141 0.0000
0.6859 0.1859 0.0000
0.8141 0.6859 0.0000
0.0000 0.0000 0.5000
0.5000 0.5000 0.5000
0.1191 0.6191 0.5000
0.3809 0.1191 0.5000
0.6191 0.8809 0.5000
0.8809 0.3809 0.5000
```

***

# 5
Li2Cu7GeSb2: simulated powder diffraction line list (Cu Kα X-rays), based on a cell relaxed with PBE.
Neutral-atom scattering factors, no anomalous dispersion.

Largest 6 diffraction maxima, sorted by position, 2θ = 10–80°:
| 2θ/deg | Rel. int. |
| --- | --- |
| 22.98 | 40 |
| 32.28 | 41 |
| 39.64 | 43 |
| 40.35 | 100 |
| 44.63 | 47 |
| 46.97 | 31 |

```
Li2Cu7GeSb2
1.0
2.7022 -2.7713 0.0000
2.7022 2.7713 0.0000
0.0000 0.0000 11.9318
Li Cu Ge Sb
2 7 1 2
direct
0.0000 0.0000 0.1951
0.0000 0.0000 0.8049
0.0000 0.0000 0.5000
0.0000 0.5000 0.3528
0.0000 0.5000 0.6472
0.2423 0.2423 0.0000
0.5000 0.0000 0.3528
0.5000 0.0000 0.6472
0.7577 0.7577 0.0000
0.5000 0.5000 0.5000
0.5000 0.5000 0.1902
0.5000 0.5000 0.8098
```

***

# 6
Li2In3Bi4: simulated powder diffraction line list (Cu Kα X-rays), based on a cell relaxed with PBE.
Neutral-atom scattering factors, no anomalous dispersion.

Largest 6 diffraction maxima, sorted by position, 2θ = 10–80°:
| 2θ/deg | Rel. int. |
| --- | --- |
| 29.73 | 89 |
| 30.09 | 100 |
| 32.32 | 71 |
| 34.54 | 60 |
| 36.76 | 54 |
| 38.89 | 47 |

```
Li2In3Bi4
1.0
4.2459 0.0000 0.0000
1.8566 4.8607 0.0000
1.5483 1.5317 12.4266
Li In Bi
2 3 4
direct
0.1686 0.3956 0.2800
0.8314 0.6044 0.7200
0.1717 0.7188 0.9425
0.5000 0.5000 0.5000
0.8283 0.2812 0.0575
0.1454 0.0546 0.6266
0.4704 0.8499 0.1839
0.5296 0.1501 0.8161
0.8546 0.9454 0.3734
```